Computed powder diffraction line list
Compound: LiTm8Sn6
Radiation: Cu Kα X-rays
Structure: a structure optimized by DFT (GGA-PBE)
Neutral-atom scattering factors, no anomalous dispersion.

Structure:
```
data_LiTm8Sn6
_space_group_name_H-M_alt 'R -3'
_space_group_IT_number 148
_space_group_name_Hall '-R 3'
_cell_length_a 8.9710
_cell_length_b 8.9710
_cell_length_c 18.8676
_cell_angle_alpha 90.00
_cell_angle_beta 90.00
_cell_angle_gamma 120.00
loop_
_atom_site_label
_atom_site_fract_x
_atom_site_fract_y
_atom_site_fract_z
Li1 0.0000 0.0000 0.0000
Tm1 0.0000 0.0000 0.3330
Tm2 0.0037 0.3130 0.1008
Sn1 0.0025 0.3488 0.9296
```

Most intense lines, 5° ≤ 2θ ≤ 70°, sorted by position:
2θ (°)	intensity	(hkl)
19.79	26	1 1 0
24.37	26	2 -1 3
28.38	17	0 0 6
34.64	100	3 0 0
34.84	87	1 1 6
45.37	26	0 3 6
49.95	30	4 -2 6
62.08	16	3 3 0
62.21	29	4 1 6
62.61	17	2 -1 12

***

Computed powder diffraction line list
Compound: Li2Y2Sn
Radiation: Cu Kα X-rays
Structure: a structure optimized by DFT (GGA-PBE)
Neutral-atom scattering factors, no anomalous dispersion.

Structure:
```
data_Li2Y2Sn
_space_group_name_H-M_alt 'P 4/m b m'
_space_group_IT_number 127
_space_group_name_Hall '-P 4 2ab'
_cell_length_a 7.037
_cell_length_b 7.037
_cell_length_c 4.732
_cell_angle_alpha 90.00
_cell_angle_beta 90.00
_cell_angle_gamma 90.00
loop_
_atom_site_label
_atom_site_fract_x
_atom_site_fract_y
_atom_site_fract_z
Li1 0.128 0.372 0.000
Y1 0.184 0.684 0.500
Sn1 0.000 0.000 0.000
```

Most intense lines, 5° ≤ 2θ ≤ 70°, sorted by position:
2θ (°)	intensity	(hkl)
17.82	25	1 1 0
25.98	60	1 1 1
28.36	31	2 1 0
31.69	100	2 0 1
34.22	47	2 1 1
36.10	25	2 2 0
38.03	25	0 0 2
40.54	34	3 1 0
56.79	25	3 1 2
59.01	22	3 3 1

***

Computed powder diffraction line list
Compound: LiY3Sn2
Radiation: Cu Kα X-rays
Structure: a structure optimized by DFT (GGA-PBE)
Neutral-atom scattering factors, no anomalous dispersion.

Structure:
```
data_LiY3Sn2
_space_group_name_H-M_alt 'I b a m'
_space_group_IT_number 72
_space_group_name_Hall '-I 2 2c'
_cell_length_a 6.354
_cell_length_b 16.406
_cell_length_c 6.321
_cell_angle_alpha 90.00
_cell_angle_beta 90.00
_cell_angle_gamma 90.00
loop_
_atom_site_label
_atom_site_fract_x
_atom_site_fract_y
_atom_site_fract_z
Li1 0.000 0.000 0.250
Y1 0.000 0.500 0.250
Y2 0.244 0.177 0.000
Sn1 0.244 0.132 0.500
```

Most intense lines, 5° ≤ 2θ ≤ 70°, sorted by position:
2θ (°)	intensity	(hkl)
28.09	52	2 0 0
28.24	52	0 0 2
30.17	42	2 2 0
30.31	42	0 2 2
35.75	76	2 4 0
35.87	75	0 4 2
38.57	77	1 6 1
40.25	100	2 0 2
52.83	35	2 6 2
60.05	37	1 10 1

***

Computed powder diffraction line list
Compound: Li14ZnSn
Radiation: Cu Kα X-rays
Structure: a structure optimized by DFT (GGA-PBE)
Neutral-atom scattering factors, no anomalous dispersion.

Structure:
```
data_Li14ZnSn
_space_group_name_H-M_alt 'P 4/m m m'
_space_group_IT_number 123
_space_group_name_Hall '-P 4 2'
_cell_length_a 6.874
_cell_length_b 6.874
_cell_length_c 6.239
_cell_angle_alpha 90.00
_cell_angle_beta 90.00
_cell_angle_gamma 90.00
loop_
_atom_site_label
_atom_site_fract_x
_atom_site_fract_y
_atom_site_fract_z
Li1 0.000 0.000 0.000
Li2 0.000 0.500 0.000
Li3 0.000 0.500 0.500
Li4 0.245 0.245 0.268
Li5 0.500 0.500 0.000
Zn1 0.000 0.000 0.500
Sn1 0.500 0.500 0.500
```

Most intense lines, 5° ≤ 2θ ≤ 70°, sorted by position:
2θ (°)	intensity	(hkl)
14.19	81	0 0 1
18.25	87	1 1 0
23.20	100	1 1 1
25.92	38	2 0 0
29.68	52	2 0 1
34.15	38	1 1 2
36.99	32	2 2 0
38.99	55	2 0 2
39.81	26	2 2 1
44.12	37	3 1 1

***

Computed powder diffraction line list
Compound: Li5Zn2Sn4
Radiation: Cu Kα X-rays
Structure: a structure optimized by DFT (GGA-PBE)
Neutral-atom scattering factors, no anomalous dispersion.

Structure:
```
data_Li5Zn2Sn4
_space_group_name_H-M_alt 'P b a m'
_space_group_IT_number 55
_cell_length_a 7.413
_cell_length_b 17.220
_cell_length_c 3.298
_cell_angle_alpha 90.00
_cell_angle_beta 90.00
_cell_angle_gamma 90.00
loop_
_space_group_symop_operation_xyz
'x,y,z'
'-x,-y,-z'
'-x,-y,z'
'x,y,-z'
'x+1/2,-y+1/2,-z'
'-x+1/2,y+1/2,z'
'-x+1/2,y+1/2,-z'
'x+1/2,-y+1/2,z'
loop_
_atom_site_label
_atom_site_fract_x
_atom_site_fract_y
_atom_site_fract_z
Li1 0.000 0.000 0.000
Li2 0.143 0.427 0.000
Li3 0.238 0.212 0.000
Zn1 0.039 0.308 0.500
Sn1 0.082 0.845 0.500
Sn2 0.195 0.566 0.500
```

Most intense lines, 5° ≤ 2θ ≤ 70°, sorted by position:
2θ (°)	intensity	(hkl)
23.90	79	1 4 0
26.18	39	2 2 0
27.03	100	0 0 1
36.39	67	1 4 1
37.88	35	3 2 0
37.98	35	2 2 1
38.56	27	1 7 0
39.76	52	2 6 0
47.16	35	3 2 1
48.71	29	2 6 1

***

Computed powder diffraction line list
Compound: Li3Zn2Sn2
Radiation: Cu Kα X-rays
Structure: a structure optimized by DFT (GGA-PBE)
Neutral-atom scattering factors, no anomalous dispersion.

Structure:
```
data_Li3Zn2Sn2
_space_group_name_H-M_alt 'C 1 2/m 1'
_space_group_IT_number 12
_cell_length_a 7.910
_cell_length_b 4.696
_cell_length_c 7.904
_cell_angle_alpha 90.00
_cell_angle_beta 118.13
_cell_angle_gamma 90.00
loop_
_space_group_symop_operation_xyz
'x,y,z'
'-x,-y,-z'
'-x,y,-z'
'x,-y,z'
'x+1/2,y+1/2,z'
'-x+1/2,-y+1/2,-z'
'-x+1/2,y+1/2,-z'
'x+1/2,-y+1/2,z'
loop_
_atom_site_label
_atom_site_fract_x
_atom_site_fract_y
_atom_site_fract_z
Li1 0.000 0.000 0.000
Li2 0.214 0.500 0.570
Zn1 0.037 0.500 0.844
Sn1 0.145 0.000 0.731
```

Most intense lines, 5° ≤ 2θ ≤ 70°, sorted by position:
2θ (°)	intensity	(hkl)
22.49	33	2 0 -1
23.04	100	1 1 -1
25.56	52	0 0 2
33.73	45	2 0 1
38.33	36	0 2 0
39.59	63	1 1 -3
39.94	58	3 1 -2
43.43	33	3 1 0
46.64	21	0 2 2
51.97	27	2 2 1

***

Computed powder diffraction line list
Compound: Sr3Li2
Radiation: Cu Kα X-rays
Structure: a structure optimized by DFT (GGA-PBE)
Neutral-atom scattering factors, no anomalous dispersion.

Structure:
```
data_Sr3Li2
_space_group_name_H-M_alt 'P 42/m n m'
_space_group_IT_number 136
_space_group_name_Hall '-P 4n 2n'
_cell_length_a 9.766
_cell_length_b 9.766
_cell_length_c 8.635
_cell_angle_alpha 90.00
_cell_angle_beta 90.00
_cell_angle_gamma 90.00
loop_
_atom_site_label
_atom_site_fract_x
_atom_site_fract_y
_atom_site_fract_z
Sr1 0.000 0.500 0.250
Sr2 0.149 0.149 0.000
Sr3 0.212 0.212 0.500
Li1 0.113 0.887 0.319
```

Most intense lines, 5° ≤ 2θ ≤ 70°, sorted by position:
2θ (°)	intensity	(hkl)
20.33	56	2 1 0
24.31	52	1 1 2
25.80	43	2 2 0
27.58	100	2 0 2
28.91	57	3 1 0
29.08	58	2 1 2
30.75	32	3 1 1
43.58	18	4 1 2
44.61	29	3 3 2
51.66	21	3 1 4

***

Computed powder diffraction line list
Compound: SrLi3
Radiation: Cu Kα X-rays
Structure: a structure optimized by DFT (GGA-PBE)
Neutral-atom scattering factors, no anomalous dispersion.

Structure:
```
data_SrLi3
_space_group_name_H-M_alt 'P n m a'
_space_group_IT_number 62
_cell_length_a 8.719
_cell_length_b 8.182
_cell_length_c 6.591
_cell_angle_alpha 90.00
_cell_angle_beta 90.00
_cell_angle_gamma 90.00
loop_
_space_group_symop_operation_xyz
'x,y,z'
'-x,-y,-z'
'-x+1/2,-y,z+1/2'
'x+1/2,y,-z+1/2'
'x+1/2,-y+1/2,-z+1/2'
'-x+1/2,y+1/2,z+1/2'
'-x,y+1/2,-z'
'x,-y+1/2,z'
loop_
_atom_site_label
_atom_site_fract_x
_atom_site_fract_y
_atom_site_fract_z
Sr1 0.030 0.250 0.126
Li1 0.123 0.750 0.354
Li2 0.168 0.060 0.590
```

Most intense lines, 5° ≤ 2θ ≤ 70°, sorted by position:
2θ (°)	intensity	(hkl)
16.86	75	1 0 1
17.28	78	0 1 1
20.37	49	2 0 0
21.72	53	0 2 0
26.83	61	2 1 1
27.63	61	1 2 1
29.95	48	2 2 0
31.00	100	1 1 2
42.94	30	3 1 2
44.33	42	0 4 0

***

Computed powder diffraction line list
Compound: SrLi2
Radiation: Cu Kα X-rays
Structure: a structure optimized by DFT (GGA-PBE)
Neutral-atom scattering factors, no anomalous dispersion.

Structure:
```
data_SrLi2
_space_group_name_H-M_alt 'I m m a'
_space_group_IT_number 74
_space_group_name_Hall '-I 2b 2'
_cell_length_a 4.801
_cell_length_b 4.806
_cell_length_c 17.449
_cell_angle_alpha 90.00
_cell_angle_beta 90.00
_cell_angle_gamma 90.00
loop_
_atom_site_label
_atom_site_fract_x
_atom_site_fract_y
_atom_site_fract_z
Sr1 0.000 0.250 0.125
Li1 0.000 0.250 0.542
Li2 0.000 0.250 0.708
```

Most intense lines, 5° ≤ 2θ ≤ 70°, sorted by position:
2θ (°)	intensity	(hkl)
19.16	91	0 1 1
20.36	44	0 0 4
24.03	66	1 0 3
28.19	100	1 1 2
31.69	40	0 1 5
37.45	26	2 0 0
40.82	45	1 1 6
42.40	24	2 1 1
42.99	25	2 0 4
44.99	24	1 2 3

***

Computed powder diffraction line list
Compound: Sr5Li3
Radiation: Cu Kα X-rays
Structure: a structure optimized by DFT (GGA-PBE)
Neutral-atom scattering factors, no anomalous dispersion.

Structure:
```
data_Sr5Li3
_space_group_name_H-M_alt 'F m m 2'
_space_group_IT_number 42
_space_group_name_Hall 'F 2 -2'
_cell_length_a 19.505
_cell_length_b 19.553
_cell_length_c 7.149
_cell_angle_alpha 90.00
_cell_angle_beta 90.00
_cell_angle_gamma 90.00
loop_
_atom_site_label
_atom_site_fract_x
_atom_site_fract_y
_atom_site_fract_z
Sr1 0.000 0.000 0.000
Sr2 0.000 0.000 0.500
Sr3 0.103 0.182 0.250
Sr4 0.182 0.103 0.750
Li1 0.000 0.163 0.750
Li2 0.163 0.000 0.250
Li3 0.250 0.250 0.000
```

Most intense lines, 5° ≤ 2θ ≤ 70°, sorted by position:
2θ (°)	intensity	(hkl)
18.99	57	3 1 1
20.34	67	4 2 0
26.40	93	1 5 1
26.56	27	2 0 2
28.11	28	2 2 2
28.92	50	6 2 0
29.45	100	3 5 1
31.01	59	4 0 2
46.49	28	0 10 0
46.79	27	3 5 3

***

Computed powder diffraction line list
Compound: Sr3Li2
Radiation: Cu Kα X-rays
Structure: a structure optimized by DFT (GGA-PBE)
Neutral-atom scattering factors, no anomalous dispersion.

Structure:
```
data_Sr3Li2
_space_group_name_H-M_alt 'C m m m'
_space_group_IT_number 65
_space_group_name_Hall '-C 2 2'
_cell_length_a 5.131
_cell_length_b 18.302
_cell_length_c 4.476
_cell_angle_alpha 90.00
_cell_angle_beta 90.00
_cell_angle_gamma 90.00
loop_
_atom_site_label
_atom_site_fract_x
_atom_site_fract_y
_atom_site_fract_z
Sr1 0.000 0.000 0.000
Sr2 0.000 0.360 0.500
Li1 0.000 0.204 0.000
```

Most intense lines, 5° ≤ 2θ ≤ 70°, sorted by position:
2θ (°)	intensity	(hkl)
22.11	24	0 2 1
22.64	100	1 3 0
26.88	98	1 1 1
27.89	71	0 4 1
29.99	21	1 5 0
34.97	22	2 0 0
40.30	17	0 0 2
43.81	40	1 7 1
45.31	37	2 4 1
46.72	29	1 3 2

***

Computed powder diffraction line list
Compound: SrLi4
Radiation: Cu Kα X-rays
Structure: a structure optimized by DFT (GGA-PBE)
Neutral-atom scattering factors, no anomalous dispersion.

Structure:
```
data_SrLi4
_space_group_name_H-M_alt 'I -4 3 m'
_space_group_IT_number 217
_space_group_name_Hall 'I -4 2 3'
_cell_length_a 10.384
_cell_length_b 10.384
_cell_length_c 10.384
_cell_angle_alpha 90.00
_cell_angle_beta 90.00
_cell_angle_gamma 90.00
loop_
_atom_site_label
_atom_site_fract_x
_atom_site_fract_y
_atom_site_fract_z
Sr1 0.220 0.220 0.220
Li1 0.000 0.000 0.356
Li2 0.000 0.250 0.500
Li3 0.098 0.098 0.902
```

Most intense lines, 5° ≤ 2θ ≤ 70°, sorted by position:
2θ (°)	intensity	(hkl)
17.08	100	2 0 0
20.96	42	2 1 1
24.24	95	2 2 0
29.81	43	2 2 2
32.26	31	3 2 1
36.72	45	4 1 1
38.78	34	4 2 0
44.49	32	4 3 1
54.47	35	6 1 1
60.47	22	6 3 1

***

Computed powder diffraction line list
Compound: Sr3Li2
Radiation: Cu Kα X-rays
Structure: a structure optimized by DFT (GGA-PBE)
Neutral-atom scattering factors, no anomalous dispersion.

Structure:
```
data_Sr3Li2
_space_group_name_H-M_alt 'P 4/m b m'
_space_group_IT_number 127
_space_group_name_Hall '-P 4 2ab'
_cell_length_a 9.580
_cell_length_b 9.580
_cell_length_c 4.536
_cell_angle_alpha 90.00
_cell_angle_beta 90.00
_cell_angle_gamma 90.00
loop_
_atom_site_label
_atom_site_fract_x
_atom_site_fract_y
_atom_site_fract_z
Sr1 0.000 0.000 0.000
Sr2 0.170 0.330 0.500
Li1 0.120 0.620 0.000
```

Most intense lines, 5° ≤ 2θ ≤ 70°, sorted by position:
2θ (°)	intensity	(hkl)
20.73	88	2 1 0
23.60	65	1 1 1
26.31	31	2 2 0
27.07	100	2 0 1
28.66	99	2 1 1
29.48	77	3 1 0
43.78	31	4 1 1
44.84	51	3 3 1
45.24	22	2 1 2
50.25	34	3 1 2